Starting from the GGA-PBE geometry in the Materials Project, the powder diffraction line list of SmSbTe was computed for Cu Kα X-rays.
Peak positions follow from Bragg's law for the DFT cell and can differ from measured ones.

Atomic structure:
```
SmSbTe
1.0
4.330 0.000 0.000
0.000 4.330 0.000
0.000 0.000 9.453
Sm Sb Te
2 2 2
direct
0.250 0.250 0.224
0.750 0.750 0.776
0.250 0.750 0.500
0.750 0.250 0.500
0.250 0.250 0.876
0.750 0.750 0.124
```

Top 6 peaks for 10° ≤ 2θ ≤ 80°, by angle:
Position (°2θ)  d (Å)  I/Imax
28.3  3.151  43.2
30.7  2.913  100.0
34.9  2.570  88.4
35.2  2.548  62.5
41.7  2.165  61.5
55.7  1.650  33.4

Starting from the GGA-PBE geometry in the Materials Project, the powder diffraction line list of SmSb2Te4 was computed for Cu Kα X-rays.
Peak positions follow from Bragg's law for the DFT cell and can differ from measured ones.

Atomic structure:
```
SmSb2Te4
1.0
-4.950 4.950 4.662
4.950 -4.950 4.662
4.950 4.950 -4.662
Sm Sb Te
2 4 8
direct
0.000 0.000 0.000
0.750 0.250 0.500
0.175 0.125 0.550
0.375 0.825 0.950
0.575 0.625 0.450
0.875 0.425 0.050
0.004 0.750 0.628
0.122 0.375 0.372
0.125 0.372 0.872
0.250 0.878 0.254
0.500 0.254 0.128
0.625 0.996 0.746
0.628 0.500 0.754
0.746 0.875 0.246
```

Top 6 peaks for 10° ≤ 2θ ≤ 80°, by angle:
Position (°2θ)  d (Å)  I/Imax
28.5  3.130  39.0
28.7  3.111  100.0
30.1  2.965  64.9
34.0  2.634  33.6
34.5  2.599  98.4
46.9  1.937  51.0

Starting from the GGA-PBE geometry in the Materials Project, the powder diffraction line list of Sm3TiSb5 was computed for Cu Kα X-rays.
Peak positions follow from Bragg's law for the DFT cell and can differ from measured ones.

Atomic structure:
```
Sm3TiSb5
1.0
9.358 0.000 0.000
-4.679 8.104 0.000
0.000 0.000 6.257
Sm Ti Sb
6 2 10
direct
0.000 0.382 0.250
0.000 0.618 0.750
0.382 0.000 0.250
0.382 0.382 0.750
0.618 0.000 0.750
0.618 0.618 0.250
0.000 0.000 0.000
0.000 0.000 0.500
0.000 0.256 0.750
0.000 0.744 0.250
0.256 0.000 0.750
0.256 0.256 0.250
0.333 0.667 0.000
0.333 0.667 0.500
0.667 0.333 0.000
0.667 0.333 0.500
0.744 0.000 0.250
0.744 0.744 0.750
```

Top 6 peaks for 10° ≤ 2θ ≤ 80°, by angle:
Position (°2θ)  d (Å)  I/Imax
32.5  2.751  95.4
33.2  2.701  83.3
34.5  2.601  100.0
42.7  2.115  19.7
48.6  1.874  26.8
53.1  1.724  23.6

Starting from the GGA-PBE geometry in the Materials Project, the powder diffraction line list of Sm3ZrSb5 was computed for Cu Kα X-rays.
Peak positions follow from Bragg's law for the DFT cell and can differ from measured ones.

Atomic structure:
```
Sm3ZrSb5
1.0
9.437 0.000 0.000
-4.718 8.172 0.000
0.000 0.000 6.337
Sm Zr Sb
6 2 10
direct
0.000 0.382 0.250
0.000 0.618 0.750
0.382 0.000 0.250
0.382 0.382 0.750
0.618 0.000 0.750
0.618 0.618 0.250
0.000 0.000 0.000
0.000 0.000 0.500
0.000 0.266 0.750
0.000 0.734 0.250
0.266 0.000 0.750
0.266 0.266 0.250
0.333 0.667 0.000
0.333 0.667 0.500
0.667 0.333 0.000
0.667 0.333 0.500
0.734 0.000 0.250
0.734 0.734 0.750
```

Top 6 peaks for 10° ≤ 2θ ≤ 80°, by angle:
Position (°2θ)  d (Å)  I/Imax
32.2  2.777  70.6
32.9  2.724  86.6
34.1  2.630  100.0
42.4  2.134  19.7
48.1  1.892  26.9
68.5  1.370  20.2

Starting from the GGA-PBE geometry in the Materials Project, the powder diffraction line list of SnSb was computed for Cu Kα X-rays.
Peak positions follow from Bragg's law for the DFT cell and can differ from measured ones.

Atomic structure:
```
SnSb
1.0
6.918 0.000 0.000
0.000 6.918 0.000
0.000 0.000 6.918
Sn Sb
4 4
direct
0.000 0.000 0.000
0.000 0.500 0.500
0.500 0.000 0.500
0.500 0.500 0.000
0.250 0.250 0.750
0.250 0.750 0.250
0.750 0.250 0.250
0.750 0.750 0.750
```

Top 6 peaks for 10° ≤ 2θ ≤ 80°, by angle:
Position (°2θ)  d (Å)  I/Imax
22.3  3.994  100.0
36.7  2.446  83.3
43.4  2.086  52.4
58.1  1.587  22.2
66.2  1.412  30.2
70.8  1.331  16.6

Starting from the GGA-PBE geometry in the Materials Project, the powder diffraction line list of SnSb was computed for Cu Kα X-rays.
Peak positions follow from Bragg's law for the DFT cell and can differ from measured ones.

Atomic structure:
```
SnSb
1.0
3.453 0.000 0.000
0.000 5.389 0.000
-0.040 0.000 6.244
Sn Sb
2 2
direct
0.000 0.000 0.000
0.500 0.500 0.000
0.000 0.000 0.500
0.500 0.500 0.500
```

Top 6 peaks for 10° ≤ 2θ ≤ 80°, by angle:
Position (°2θ)  d (Å)  I/Imax
28.6  3.122  60.3
30.8  2.907  100.0
33.2  2.695  40.7
42.4  2.133  41.9
42.6  2.122  41.2
44.4  2.040  36.6

Starting from the GGA-PBE geometry in the Materials Project, the powder diffraction line list of SnSb was computed for Cu Kα X-rays.
Peak positions follow from Bragg's law for the DFT cell and can differ from measured ones.

Atomic structure:
```
SnSb
1.0
5.091 0.000 0.000
-2.546 4.409 0.000
0.000 0.000 10.127
Sn Sb
3 3
direct
0.000 0.000 0.000
0.333 0.667 0.667
0.667 0.333 0.333
0.000 0.000 0.287
0.333 0.667 0.953
0.667 0.333 0.620
```

Top 6 peaks for 10° ≤ 2θ ≤ 80°, by angle:
Position (°2θ)  d (Å)  I/Imax
22.0  4.043  100.0
26.4  3.376  45.1
35.3  2.546  78.1
41.1  2.196  41.1
44.6  2.032  66.4
67.3  1.392  19.4

Starting from the GGA-PBE geometry in the Materials Project, the powder diffraction line list of SnSb was computed for Cu Kα X-rays.
Peak positions follow from Bragg's law for the DFT cell and can differ from measured ones.

Atomic structure:
```
SnSb
1.0
3.803 0.000 0.000
0.000 3.803 0.000
0.000 0.000 3.803
Sn Sb
1 1
direct
0.000 0.000 0.000
0.500 0.500 0.500
```

Top 5 peaks for 10° ≤ 2θ ≤ 80°, by angle:
Position (°2θ)  d (Å)  I/Imax
33.3  2.689  100.0
47.8  1.902  18.2
59.5  1.553  38.0
70.0  1.345  11.9
79.7  1.203  16.8

Starting from the GGA-PBE geometry in the Materials Project, the powder diffraction line list of SnSb was computed for Cu Kα X-rays.
Peak positions follow from Bragg's law for the DFT cell and can differ from measured ones.

Atomic structure:
```
SnSb
1.0
6.184 0.000 0.000
0.000 6.184 0.000
0.000 0.000 6.184
Sn Sb
4 4
direct
0.000 0.000 0.000
0.000 0.500 0.500
0.500 0.000 0.500
0.500 0.500 0.000
0.000 0.000 0.500
0.000 0.500 0.000
0.500 0.000 0.000
0.500 0.500 0.500
```

Top 6 peaks for 10° ≤ 2θ ≤ 80°, by angle:
Position (°2θ)  d (Å)  I/Imax
28.9  3.092  100.0
41.3  2.187  76.6
51.2  1.785  27.4
59.8  1.546  12.9
67.8  1.383  35.8
75.3  1.262  26.8

Starting from the GGA-PBE geometry in the Materials Project, the powder diffraction line list of SnSb was computed for Cu Kα X-rays.
Peak positions follow from Bragg's law for the DFT cell and can differ from measured ones.

Atomic structure:
```
SnSb
1.0
3.075 0.000 0.000
0.000 3.075 0.000
0.000 0.000 6.259
Sn Sb
1 1
direct
0.000 0.000 0.000
0.000 0.000 0.500
```

Top 6 peaks for 10° ≤ 2θ ≤ 80°, by angle:
Position (°2θ)  d (Å)  I/Imax
28.5  3.130  52.4
29.0  3.075  100.0
41.2  2.193  78.5
41.5  2.174  38.2
51.2  1.786  41.8
75.5  1.259  27.0

Starting from the GGA-PBE geometry in the Materials Project, the powder diffraction line list of SnSb2Te4 was computed for Cu Kα X-rays.
Peak positions follow from Bragg's law for the DFT cell and can differ from measured ones.

Atomic structure:
```
SnSb2Te4
1.0
2.192 1.266 14.159
-2.192 1.266 14.159
0.000 -2.532 14.159
Sn Sb Te
1 2 4
direct
0.000 0.000 0.000
0.425 0.425 0.425
0.575 0.575 0.575
0.131 0.131 0.131
0.288 0.288 0.288
0.712 0.712 0.712
0.869 0.869 0.869
```

Top 6 peaks for 10° ≤ 2θ ≤ 80°, by angle:
Position (°2θ)  d (Å)  I/Imax
27.7  3.219  100.0
38.0  2.370  32.9
41.2  2.192  37.6
50.4  1.812  19.1
57.2  1.610  9.9
67.0  1.397  16.1

Starting from the GGA-PBE geometry in the Materials Project, the powder diffraction line list of TiSnSb was computed for Cu Kα X-rays.
Peak positions follow from Bragg's law for the DFT cell and can differ from measured ones.

Atomic structure:
```
TiSnSb
1.0
0.000 4.919 9.785
2.755 0.000 9.785
2.755 4.919 0.000
Ti Sn Sb
4 4 4
direct
0.001 0.001 0.749
0.251 0.251 0.999
0.749 0.749 0.001
0.999 0.999 0.251
0.042 0.708 0.042
0.292 0.958 0.292
0.708 0.042 0.708
0.958 0.292 0.958
0.297 0.297 0.453
0.453 0.453 0.297
0.547 0.547 0.703
0.703 0.703 0.547
```

Top 6 peaks for 10° ≤ 2θ ≤ 80°, by angle:
Position (°2θ)  d (Å)  I/Imax
32.1  2.789  100.0
32.9  2.718  77.1
33.8  2.652  81.6
34.7  2.587  61.2
37.2  2.417  79.7
41.9  2.158  59.7

Starting from the GGA-PBE geometry in the Materials Project, the powder diffraction line list of ZnSnSb2 was computed for Cu Kα X-rays.
Peak positions follow from Bragg's law for the DFT cell and can differ from measured ones.

Atomic structure:
```
ZnSnSb2
1.0
3.943 -2.240 0.000
3.943 2.240 0.000
-0.392 0.000 41.870
Zn Sn Sb
6 6 12
direct
0.000 0.000 0.000
0.029 0.029 0.853
0.486 0.486 0.073
0.510 0.510 0.927
0.548 0.548 0.780
0.961 0.961 0.144
0.027 0.027 0.517
0.110 0.110 0.702
0.412 0.412 0.240
0.491 0.491 0.425
0.529 0.529 0.613
0.967 0.967 0.332
0.076 0.076 0.208
0.155 0.155 0.392
0.156 0.156 0.060
0.183 0.183 0.916
0.191 0.191 0.580
0.213 0.213 0.769
0.631 0.631 0.299
0.633 0.633 0.133
0.674 0.674 0.988
0.692 0.692 0.485
0.697 0.697 0.845
0.773 0.773 0.670
```

Top 6 peaks for 10° ≤ 2θ ≤ 80°, by angle:
Position (°2θ)  d (Å)  I/Imax
22.6  3.942  25.7
26.1  3.408  100.0
29.9  2.992  14.3
31.3  2.857  16.0
40.3  2.240  30.2
41.8  2.161  33.6

Starting from the GGA-PBE geometry in the Materials Project, the powder diffraction line list of ZnSnSb2 was computed for Cu Kα X-rays.
Peak positions follow from Bragg's law for the DFT cell and can differ from measured ones.

Atomic structure:
```
ZnSnSb2
1.0
6.392 0.000 0.000
0.000 6.392 0.000
0.000 0.000 12.830
Zn Sn Sb
4 4 8
direct
0.000 0.000 0.000
0.000 0.500 0.250
0.500 0.000 0.750
0.500 0.500 0.500
0.000 0.000 0.500
0.000 0.500 0.750
0.500 0.000 0.250
0.500 0.500 0.000
0.224 0.750 0.125
0.250 0.224 0.875
0.250 0.276 0.375
0.276 0.750 0.625
0.724 0.250 0.625
0.750 0.724 0.375
0.750 0.776 0.875
0.776 0.250 0.125
```

Top 6 peaks for 10° ≤ 2θ ≤ 80°, by angle:
Position (°2θ)  d (Å)  I/Imax
24.1  3.695  100.0
39.8  2.263  77.2
47.0  1.933  16.5
47.1  1.928  30.7
63.3  1.469  12.6
72.4  1.305  15.7